Record 1
Structure and theoretical powder diffraction line list of ZrB2O5 (a crystal structure in the Materials Project, relaxed with GGA-PBE; copper Kα).
Neutral-atom scattering factors, no anomalous dispersion.

Cell and atoms:
Lattice parameters (Å, degrees): 4.453 7.010 9.072 90.00 90.95 90.00
Space group P2_1/c (No. 14)
Unique sites:
1 Zr 0.001 0.113 0.171 (multiplicity 4)
2 B 0.465 0.087 0.666 (multiplicity 4)
3 B 0.473 0.730 0.577 (multiplicity 4)
4 O 0.215 0.590 0.821 (multiplicity 4)
5 O 0.233 0.598 0.533 (multiplicity 4)
6 O 0.308 0.155 0.807 (multiplicity 4)
7 O 0.332 0.604 0.150 (multiplicity 4)
8 O 0.350 0.221 0.554 (multiplicity 4)

Most intense lines, 5 to 70 degrees two-theta, low angle first:
2θ/deg, I/Imax
15.98, 82
19.57, 70
19.94, 77
23.36, 63
25.79, 59
27.28, 65
30.68, 62
33.92, 100
34.12, 94
38.47, 59

=====

Record 2
Structure and theoretical powder diffraction line list of UNi5 (a crystal structure in the Materials Project, relaxed with GGA-PBE; copper Kα).
Neutral-atom scattering factors, no anomalous dispersion.

Cell and atoms:
Lattice parameters (Å, degrees): 6.762 6.762 6.762 90.00 90.00 90.00
Space group F-43m (No. 216)
Unique sites:
1 U 0.000 0.000 0.000 (multiplicity 4)
2 Ni 0.124 0.124 0.376 (multiplicity 16)
3 Ni 0.250 0.250 0.750 (multiplicity 4)

Most intense lines, 5 to 70 degrees two-theta, low angle first:
2θ/deg, I/Imax
22.78, 27
26.36, 21
37.62, 54
44.43, 100
46.52, 21
59.59, 7
61.31, 9
67.90, 20

=====

Record 3
Structure and theoretical powder diffraction line list of SrClF (a crystal structure in the Materials Project, relaxed with GGA-PBE; copper Kα).
Neutral-atom scattering factors, no anomalous dispersion.

Cell and atoms:
Lattice parameters (Å, degrees): 4.181 4.181 7.020 90.00 90.00 90.00
Space group P4/nmm (No. 129, origin choice 2)
Unique sites:
1 Sr 0.250 0.250 0.201 (multiplicity 2)
2 Cl 0.250 0.250 0.643 (multiplicity 2)
3 F 0.250 0.750 0.000 (multiplicity 2)

Most intense lines, 5 to 70 degrees two-theta, low angle first:
2θ/deg, I/Imax
24.79, 87
25.38, 25
30.23, 96
33.33, 100
39.87, 81
43.28, 65
44.36, 28
50.51, 28
55.70, 42
56.90, 27

=====

Record 4
Structure and theoretical powder diffraction line list of LiY9Si6O26 (a crystal structure in the Materials Project, relaxed with GGA-PBE; copper Kα).
Neutral-atom scattering factors, no anomalous dispersion.

Cell and atoms:
Lattice parameters (Å, degrees): 9.4548 9.4548 6.7819 90.00 90.00 120.00
Space group P3 (No. 143)
Unique sites:
1 Li 0.0000 0.0000 0.0000 (multiplicity 1)
2 Y 0.0000 0.0000 0.4753 (multiplicity 1)
3 Y 0.0978 0.4295 0.2254 (multiplicity 3)
4 Y 0.1006 0.6692 0.7280 (multiplicity 3)
5 Y 0.6667 0.3333 0.4787 (multiplicity 1)
6 Y 0.6667 0.3333 0.9750 (multiplicity 1)
7 Si 0.3037 0.0400 0.7271 (multiplicity 3)
8 Si 0.3592 0.2942 0.2274 (multiplicity 3)
9 O 0.0185 0.8370 0.2309 (multiplicity 3)
10 O 0.0829 0.3270 0.5338 (multiplicity 3)
11 O 0.0883 0.3443 0.9112 (multiplicity 3)
12 O 0.2070 0.1420 0.7170 (multiplicity 3)
13 O 0.3333 0.6667 0.2253 (multiplicity 1)
14 O 0.3333 0.6667 0.7187 (multiplicity 1)
15 O 0.4269 0.4158 0.0341 (multiplicity 3)
16 O 0.4310 0.4195 0.4184 (multiplicity 3)
17 O 0.4637 0.1961 0.2264 (multiplicity 3)
18 O 0.5023 0.1635 0.7270 (multiplicity 3)

Most intense lines, 5 to 70 degrees two-theta, low angle first:
2θ/deg, I/Imax
21.71, 21
26.28, 19
28.49, 26
28.85, 27
31.78, 100
32.49, 33
32.81, 25
46.85, 26
49.96, 33
52.20, 22

=====

Record 5
Structure and theoretical powder diffraction line list of ZrTaSi2Ru2 (a crystal structure in the Materials Project, relaxed with GGA-PBE; copper Kα).
Neutral-atom scattering factors, no anomalous dispersion.

Cell and atoms:
Lattice parameters (Å, degrees): 6.565 3.771 11.269 90.00 90.29 90.00
Space group Pm (No. 6)
Unique sites:
1 Zr 0.000 0.000 0.000 (multiplicity 1)
2 Zr 0.001 0.000 0.580 (multiplicity 1)
3 Zr 0.501 0.000 0.081 (multiplicity 1)
4 Ta 0.135 0.000 0.291 (multiplicity 1)
5 Ta 0.501 0.000 0.499 (multiplicity 1)
6 Ta 0.633 0.000 0.788 (multiplicity 1)
7 Si 0.210 0.500 0.128 (multiplicity 1)
8 Si 0.215 0.500 0.455 (multiplicity 1)
9 Si 0.219 0.000 0.790 (multiplicity 1)
10 Si 0.705 0.500 0.623 (multiplicity 1)
11 Si 0.709 0.500 0.952 (multiplicity 1)
12 Si 0.718 0.000 0.294 (multiplicity 1)
13 Ru 0.335 0.500 0.911 (multiplicity 1)
14 Ru 0.337 0.500 0.666 (multiplicity 1)
15 Ru 0.466 0.500 0.293 (multiplicity 1)
16 Ru 0.834 0.500 0.414 (multiplicity 1)
17 Ru 0.835 0.500 0.169 (multiplicity 1)
18 Ru 0.963 0.500 0.788 (multiplicity 1)

Most intense lines, 5 to 70 degrees two-theta, low angle first:
2θ/deg, I/Imax
28.42, 39
36.28, 50
36.43, 100
39.71, 34
39.82, 37
39.95, 39
42.06, 35
42.36, 26
48.26, 39
65.91, 18